Diffraction record for DyLu6Co2Te2. The powder X-ray diffraction pattern is theoretical, not measured: it uses the PBE geometry in OQMD and Cu Kα (λ = 1.5418 Å).
No peak broadening, texture or thermal motion is included.

Crystal structure
Unit cell a=9.1914 b=9.1914 c=9.1914 alpha=156.19 beta=66.45 gamma=118.99
Element x y z (fractional)
Dy (0.0000, 0.0000, 0.0000)
Lu (0.0594, 0.3730, 0.6864)
Lu (0.0784, 0.7280, 0.3504)
Lu (0.3776, 0.7280, 0.6496)
Lu (0.4445, 0.5809, 0.8636)
Lu (0.6866, 0.3730, 0.3136)
Lu (0.7173, 0.5809, 0.1364)
Co (0.3060, 0.0690, 0.2369)
Co (0.8321, 0.0690, 0.7631)
Te (0.3386, 0.3386, 0.0000)
Te (0.7303, 0.2303, 0.5000)

Largest 8 diffraction maxima, by angle, 10 to 80 degrees two-theta:
2θ/deg	I/Imax
29.30	374
30.94	533
33.71	870
34.59	1000
35.01	283
35.17	577
47.99	303
59.92	337



Diffraction record for PrSi2NiAg. The powder X-ray diffraction pattern is theoretical, not measured: it uses the PBE geometry in OQMD and Cu Kα (λ = 1.5418 Å).
No peak broadening, texture or thermal motion is included.

Crystal structure
Unit cell a=5.8624 b=5.8624 c=5.8624 alpha=138.22 beta=138.22 gamma=60.57
Element x y z (fractional)
Pr (0.0000, 0.0000, 0.0000)
Si (0.3819, 0.3819, 0.0000)
Si (0.6181, 0.6181, 0.0000)
Ni (0.7500, 0.2500, 0.5000)
Ag (0.2500, 0.7500, 0.5000)

Largest 8 diffraction maxima, by angle, 10 to 80 degrees two-theta:
2θ/deg	I/Imax
23.02	329
34.14	343
35.15	1000
35.46	161
43.28	371
56.25	161
57.15	156
74.12	213



Diffraction record for Ag2TeH4O6. The powder X-ray diffraction pattern is theoretical, not measured: it uses the PBE geometry in OQMD and Cu Kα (λ = 1.5418 Å).
No peak broadening, texture or thermal motion is included.

Crystal structure
Unit cell a=10.2220 b=5.4519 c=9.7739 alpha=78.76 beta=31.54 gamma=69.69
Element x y z (fractional)
Ag (0.3946, 0.6054, 0.4493)
Ag (0.6054, 0.3946, 0.5507)
Ag (0.6993, 0.8007, 0.6446)
Ag (0.8007, 0.6993, 0.8554)
Te (0.2364, 0.2364, 0.2636)
Te (0.9864, 0.9864, 0.0136)
H (0.1814, 0.1923, 0.0518)
H (0.1923, 0.1814, 0.5746)
H (0.1982, 0.6754, 0.0686)
H (0.2382, 0.7619, 0.2776)
H (0.5276, 0.9724, 0.4881)
H (0.6754, 0.1982, 0.0577)
H (0.7619, 0.2382, 0.7224)
H (0.9724, 0.5276, 0.0118)
O (0.1379, 0.3322, 0.5326)
O (0.1602, 0.6080, 0.2530)
O (0.2527, 0.7174, 0.9178)
O (0.2712, 0.9970, 0.6420)
O (0.2917, 0.8600, 0.3000)
O (0.3322, 0.1379, 0.9973)
O (0.6080, 0.1602, 0.9788)
O (0.7017, 0.9500, 0.3900)
O (0.7174, 0.2527, 0.1121)
O (0.8600, 0.2917, 0.5483)
O (0.9500, 0.7017, 0.9583)
O (0.9970, 0.2712, 0.0898)

Largest 8 diffraction maxima, by angle, 10 to 80 degrees two-theta:
2θ/deg	I/Imax
22.39	1000
29.36	268
29.68	569
34.51	505
38.28	373
41.77	184
48.54	229
51.26	182